Diffraction record for Tb2ScCu4Si2Ge2. The powder diffractogram is theoretical, not measured: it uses a PBE-relaxed structure and Cu Ka.
Kinematic intensities with the Lorentz-polarization factor, no thermal factor.

The 6 most intense peaks (2θ = 15–90°), most intense first:
2theta  I (rel.)
35.77  100
36.74  85
39.38  50
43.83  41
15.09  39
46.39  37

Cell and atoms:
```
Tb2ScCu4Si2Ge2
1.0
-2.0656 3.2475 6.8665
2.0656 -3.2475 6.8665
2.0656 3.2475 -6.8665
Tb Sc Cu Si Ge
2 1 4 2 2
direct
0.1295 0.1295 0.0000 Tb
0.8705 0.8705 0.0000 Tb
0.5000 0.0000 0.5000 Sc
0.1355 0.3264 0.8091 Cu
0.4827 0.6736 0.8091 Cu
0.5173 0.3264 0.1909 Cu
0.8645 0.6736 0.1909 Cu
0.2866 0.7866 0.5000 Si
0.7134 0.2134 0.5000 Si
0.2018 0.5000 0.7018 Ge
0.7982 0.5000 0.2982 Ge
```

---

Diffraction record for CdIn2Te3S. The powder diffractogram is theoretical, not measured: it uses a PBE-relaxed structure and Cu Ka.
Kinematic intensities with the Lorentz-polarization factor, no thermal factor.

The 6 most intense peaks (2θ = 15–90°), most intense first:
2theta  I (rel.)
24.86  100
24.24  68
25.10  50
41.31  47
40.15  29
40.68  28

Cell and atoms:
```
CdIn2Te3S
1.0
6.2504 0.0000 0.0000
-0.1748 6.2833 0.0000
-2.8928 -3.2085 6.1534
Cd In Te S
1 2 3 1
direct
0.0000 0.0000 0.0000 Cd
0.5240 0.5252 0.0005 In
0.7564 0.2871 0.5198 In
0.1450 0.1122 0.7230 Te
0.3754 0.8779 0.2844 Te
0.9269 0.4364 0.2816 Te
0.6366 0.6368 0.7560 S
```

---

Diffraction record for K3Ag5Pb. The powder diffractogram is theoretical, not measured: it uses a PBE-relaxed structure and Cu Ka.
Kinematic intensities with the Lorentz-polarization factor, no thermal factor.

The 6 most intense peaks (2θ = 15–90°), most intense first:
2theta  I (rel.)
16.73  100
18.26  88
28.84  62
33.83  43
39.53  41
32.58  39

Cell and atoms:
```
K3Ag5Pb
1.0
-2.9251 10.0103 4.3578
2.9251 -10.0103 4.3578
2.9251 10.0103 -4.3578
K Ag Pb
6 10 2
direct
0.1330 0.8830 0.2500 K
0.2090 0.1215 0.0875 K
0.4660 0.8785 0.5875 K
0.5340 0.1215 0.4125 K
0.7910 0.8785 0.9125 K
0.8670 0.1170 0.7500 K
0.0000 0.5000 0.5000 Ag
0.1009 0.4583 0.6426 Ag
0.1848 0.0000 0.6848 Ag
0.1848 0.5000 0.1848 Ag
0.3157 0.4583 0.8574 Ag
0.5000 0.5000 0.0000 Ag
0.6843 0.5417 0.1426 Ag
0.8152 0.0000 0.3152 Ag
0.8152 0.5000 0.8152 Ag
0.8991 0.5417 0.3574 Ag
0.4179 0.6679 0.7500 Pb
0.5821 0.3321 0.2500 Pb
```

---

Diffraction record for Cu4Ag. The powder diffractogram is theoretical, not measured: it uses a PBE-relaxed structure and Cu Ka.
Kinematic intensities with the Lorentz-polarization factor, no thermal factor.

The 6 most intense peaks (2θ = 15–90°), most intense first:
2theta  I (rel.)
41.88  100
41.60  99
41.76  99
42.17  98
48.39  64
48.93  62

Cell and atoms:
```
Cu4Ag
1.0
4.5666 0.0000 0.0000
-0.7777 4.5087 0.0000
-2.1746 -1.9212 6.3450
Cu Ag
8 2
direct
0.0000 0.0000 0.0000 Cu
0.0000 0.5000 0.5000 Cu
0.1879 0.0897 0.6869 Cu
0.2048 0.6191 0.2128 Cu
0.3947 0.2024 0.4070 Cu
0.6053 0.7976 0.5930 Cu
0.7952 0.3809 0.7872 Cu
0.8121 0.9103 0.3131 Cu
0.3922 0.6935 0.8899 Ag
0.6078 0.3065 0.1101 Ag
```

---

Diffraction record for Na3TcF6. The powder diffractogram is theoretical, not measured: it uses a PBE-relaxed structure and Cu Ka.
Kinematic intensities with the Lorentz-polarization factor, no thermal factor.

The 6 most intense peaks (2θ = 15–90°), most intense first:
2theta  I (rel.)
21.80  100
44.44  86
18.88  65
30.90  35
31.02  35
31.12  35

Cell and atoms:
```
Na3TcF6
1.0
4.9725 -2.8814 0.0000
4.9725 2.8814 0.0000
-3.2989 0.0000 4.7318
Na Tc F
3 1 6
direct
0.0000 0.0000 0.0000 Na
0.2496 0.2496 0.7488 Na
0.7504 0.7504 0.2512 Na
0.5000 0.5000 0.5000 Tc
0.2548 0.2548 0.2536 F
0.2550 0.7444 0.7453 F
0.2556 0.7450 0.2547 F
0.7444 0.2550 0.7453 F
0.7450 0.2556 0.2547 F
0.7452 0.7452 0.7464 F
```

---

Diffraction record for HoMgAgSe2S. The powder diffractogram is theoretical, not measured: it uses a PBE-relaxed structure and Cu Ka.
Kinematic intensities with the Lorentz-polarization factor, no thermal factor.

The 6 most intense peaks (2θ = 15–90°), most intense first:
2theta  I (rel.)
35.40  100
29.35  39
45.40  27
57.78  21
36.63  21
46.83  18

Cell and atoms:
```
HoMgAgSe2S
1.0
1.9399 -6.4857 0.0000
1.9399 6.4857 0.0000
0.0000 0.0000 10.6023
Ho Mg Ag Se S
2 2 2 4 2
direct
0.0000 0.0000 0.0000 Ho
0.0000 0.0000 0.5000 Ho
0.2477 0.7523 0.7500 Mg
0.7523 0.2477 0.2500 Mg
0.4840 0.5160 0.2500 Ag
0.5160 0.4840 0.7500 Ag
0.3494 0.6506 0.0693 Se
0.3494 0.6506 0.4307 Se
0.6506 0.3494 0.5693 Se
0.6506 0.3494 0.9307 Se
0.1134 0.8866 0.2500 S
0.8866 0.1134 0.7500 S
```